Starting from a crystal structure in Alexandria, relaxed with PBE+U, the powder diffraction line list of Li2Ni3O3F2 was computed for a wavelength of 1.5418 Å.

Main lines, by angle (10 to 90 degrees two-theta):
- (1 0 3), 2θ 32.88, I = 35.0
- (0 0 8), 2θ 34.24, I = 8.1
- (1 0 5), 2θ 37.21, I = 34.1
- (1 0 7), 2θ 42.99, I = 18.0
- (1 1 0), 2θ 43.23, I = 100.0
- (1 1 2), 2θ 44.15, I = 11.9
- (1 1 8), 2θ 56.29, I = 6.9
- (2 0 0), 2θ 62.80, I = 56.4
- (1 0 15), 2θ 75.31, I = 15.3
- (2 0 10), 2θ 79.30, I = 17.3

a = 2.958 Å, b = 2.958 Å, c = 20.949 Å
α = 90.00°, β = 90.00°, γ = 90.00°
Space group I4/mmm (No. 139)
One atom of each set of equivalent atoms:
Li (0.000, 0.000, 0.200) [4 per cell]
Ni (0.000, 0.000, 0.000) [2 per cell]
Ni (0.000, 0.000, 0.400) [4 per cell]
O (0.000, 0.000, 0.102) [4 per cell]
O (0.000, 0.000, 0.500) [2 per cell]
F (0.000, 0.000, 0.297) [4 per cell]